Entry 1:
Starting from a DFT-relaxed cell (PBE, Alexandria), the powder diffraction line list of KSbF4 was computed for Cu Kα (λ = 1.5418 Å).
Lines closer than 0.1° are merged.

Most intense lines, 2θ = 10–80°, sorted by position:
2θ = 12.81°, rel. 67; 2θ = 25.27°, rel. 31; 2θ = 25.78°, rel. 34; 2θ = 26.37°, rel. 100; 2θ = 43.11°, rel. 40; 2θ = 43.85°, rel. 52

Cell: 7.3105 7.3105 7.3105 Å, 32.81 32.81 32.81°
Fractional positions:
1 K 0.0000 0.0000 0.0000
2 Sb 0.5000 0.5000 0.5000
3 F 0.1444 0.1444 0.1444
4 F 0.3956 0.3956 0.3956
5 F 0.6044 0.6044 0.6044
6 F 0.8556 0.8556 0.8556

Entry 2:
Starting from a DFT-relaxed cell (PBE, Alexandria), the powder diffraction line list of ThAl was computed for Cu Kα (λ = 1.5418 Å).
Lines closer than 0.1° are merged.

Most intense lines, 2θ = 10–80°, sorted by position:
2θ = 25.67°, rel. 49; 2θ = 27.87°, rel. 100; 2θ = 30.30°, rel. 72; 2θ = 31.07°, rel. 76; 2θ = 35.69°, rel. 41; 2θ = 49.45°, rel. 55

Cell: 8.2722 4.2079 6.1401 Å, 90.00 90.00 90.00°
Fractional positions:
1 Th 0.1751 0.2500 0.1157
2 Th 0.3249 0.7500 0.6157
3 Th 0.6751 0.2500 0.3843
4 Th 0.8249 0.7500 0.8843
5 Al 0.0362 0.2500 0.6231
6 Al 0.4638 0.7500 0.1231
7 Al 0.5362 0.2500 0.8769
8 Al 0.9638 0.7500 0.3769

Entry 3:
Starting from a DFT-relaxed cell (PBE, Alexandria), the powder diffraction line list of NbO2 was computed for Cu Kα (λ = 1.5418 Å).
Lines closer than 0.1° are merged.

Most intense lines, 2θ = 10–80°, sorted by position:
2θ = 25.71°, rel. 100; 2θ = 34.71°, rel. 65; 2θ = 36.68°, rel. 17; 2θ = 51.39°, rel. 53; 2θ = 52.84°, rel. 18; 2θ = 64.78°, rel. 15

Cell: 7.5682 7.5682 7.5682 Å, 99.30 99.30 132.60°
Fractional positions:
1 Nb 0.2119 0.2171 0.4810
2 Nb 0.2309 0.7119 0.4948
3 Nb 0.2360 0.7309 0.0190
4 Nb 0.2829 0.2640 0.9948
5 Nb 0.7171 0.7360 0.0052
6 Nb 0.7640 0.2691 0.9810
7 Nb 0.7691 0.2881 0.5052
8 Nb 0.7881 0.7829 0.5190
9 O 0.0922 0.3692 0.9929
10 O 0.1083 0.1133 0.2013
11 O 0.1237 0.9006 0.4929
12 O 0.1308 0.6237 0.7231
13 O 0.3867 0.0880 0.9950
14 O 0.4006 0.4078 0.7769
15 O 0.4069 0.6083 0.4950
16 O 0.4120 0.9069 0.2987
17 O 0.5880 0.0931 0.7013
18 O 0.5931 0.3917 0.5050
19 O 0.5994 0.5922 0.2231
20 O 0.6133 0.9120 0.0050
21 O 0.8692 0.3763 0.2769
22 O 0.8763 0.0994 0.5071
23 O 0.8917 0.8867 0.7987
24 O 0.9078 0.6308 0.0071